Simulated PXRD pattern of BaSmW2O8 for a wavelength of 1.5418 Å, from DFT lattice parameters and positions (PBE+U).
Lines closer than 0.1° are merged.

Principal peaks in the range 10 to 90 degrees two-theta, low angle first:
2θ (°)	I_rel	h k l
20.51	100	0 1 1
28.92	67	1 0 2
29.41	73	1 1 0
39.36	15	0 1 3
41.72	34	0 2 2
47.25	22	1 2 1
51.86	28	2 1 2
52.17	15	3 0 0
57.03	18	1 1 4
68.91	15	1 3 2

Structure:
```
BaSmW2O8
1.0
6.0739 0.0000 0.0000
-3.0370 5.2602 0.0000
0.0000 0.0000 7.6268
Ba Sm W O
1 1 2 8
direct
0.0000 0.0000 0.0000
0.0000 0.0000 0.5000
0.3333 0.6667 0.7779
0.6667 0.3333 0.2221
0.1657 0.3313 0.7019
0.1657 0.8343 0.7019
0.3313 0.1657 0.2981
0.3333 0.6667 0.0151
0.6667 0.3333 0.9849
0.6687 0.8343 0.7019
0.8343 0.1657 0.2981
0.8343 0.6687 0.2981
```